Theoretical powder XRD pattern of AlCu3Sb4O12 for Cu Kα X-rays, from a structure optimized by DFT (GGA-PBE).
No peak broadening, texture or thermal motion is included.

Cell and atoms:
Cell: 7.8707 7.8707 7.8707 Å, 90.00 90.00 90.00°
Space group Im-3 (No. 204)
One atom of each set of equivalent atoms:
1 Al 0.0000 0.0000 0.0000
2 Cu 0.0000 0.0000 0.5000
3 Sb 0.2500 0.2500 0.2500
4 O 0.0000 0.3019 0.1738

Main lines, low angle first (2θ from 10° to 80°):
- 15.92 deg, I 2, (1 1 0)
- 22.59 deg, I 21, (2 0 0)
- 27.76 deg, I 3, (2 1 1)
- 32.17 deg, I 100, (2 2 0)
- 36.09 deg, I 3, (3 1 0)
- 39.67 deg, I 2, (2 2 2)
- 46.13 deg, I 25, (4 0 0)
- 51.96 deg, I 10, (4 2 0)
- 57.35 deg, I 48, (4 2 2)
- 67.29 deg, I 13, (4 4 0)
- 71.99 deg, I 3, (4 4 2)
- 76.56 deg, I 17, (6 2 0)